Entry 1:
Starting from the GGA-PBE geometry in Alexandria, the powder XRD pattern of PaTcP2Ir was computed for copper Kα.
Kinematic intensities with the Lorentz-polarization factor, no thermal factor.

Largest 10 diffraction maxima, by angle, 2θ = 15–90°:
| d (Å) | intensity |
| --- | --- |
| 3.747 | 42 |
| 2.536 | 31 |
| 2.473 | 100 |
| 2.436 | 18 |
| 2.029 | 34 |
| 1.784 | 12 |
| 1.584 | 15 |
| 1.559 | 19 |
| 1.413 | 17 |
| 1.241 | 23 |

Crystal structure
```
PaTcP2Ir
1.0
4.0585 0.0000 0.0000
0.0000 4.0585 0.0000
0.0000 0.0000 9.7439
Pa Tc P Ir
2 2 4 2
Cartesian
0.0000 0.0000 0.0000
2.0293 2.0293 4.8720
0.0000 2.0293 2.4360
2.0293 0.0000 7.3079
0.0000 0.0000 3.7169
0.0000 0.0000 6.0270
2.0293 2.0293 1.1551
2.0293 2.0293 8.5888
0.0000 2.0293 7.3079
2.0293 0.0000 2.4360
```

***

Entry 2:
Starting from the GGA-PBE geometry in Alexandria, the powder XRD pattern of Pa6Te3PIr2 was computed for copper Kα.
Kinematic intensities with the Lorentz-polarization factor, no thermal factor.

Largest 10 diffraction maxima, by angle, 2θ = 15–90°:
| d (Å) | intensity |
| --- | --- |
| 3.383 | 10 |
| 2.969 | 100 |
| 2.325 | 10 |
| 2.144 | 30 |
| 2.058 | 39 |
| 1.691 | 20 |
| 1.485 | 10 |
| 1.350 | 8 |
| 1.307 | 17 |
| 1.204 | 10 |

Crystal structure
```
Pa6Te3PIr2
1.0
3.5635 -6.1747 0.0000
3.5635 6.1747 0.0000
-2.3721 0.0000 7.1573
Pa Te P Ir
6 3 1 2
Cartesian
0.0017 2.0552 5.6948
1.1906 0.0000 1.4573
0.0017 -2.0552 5.6948
4.7532 2.0552 1.4625
3.5643 0.0000 5.7000
4.7532 -2.0552 1.4625
-1.1861 0.0000 3.5787
2.3774 2.0361 3.5787
2.3774 -2.0361 3.5787
3.5635 0.0000 0.0000
3.5635 4.1135 0.0000
3.5635 -4.1135 0.0000
```

***

Entry 3:
Starting from the GGA-PBE geometry in Alexandria, the powder XRD pattern of P2IrPbS8 was computed for copper Kα.
Kinematic intensities with the Lorentz-polarization factor, no thermal factor.

Largest 10 diffraction maxima, by angle, 2θ = 15–90°:
| d (Å) | intensity |
| --- | --- |
| 5.029 | 100 |
| 3.252 | 96 |
| 2.903 | 43 |
| 2.514 | 16 |
| 2.400 | 63 |
| 2.166 | 35 |
| 1.963 | 19 |
| 1.736 | 34 |
| 1.718 | 31 |
| 1.676 | 23 |

Crystal structure
```
P2IrPbS8
1.0
5.8068 0.0000 0.0000
-2.9034 5.0289 0.0000
0.0000 0.0000 8.5283
P Ir Pb S
2 1 1 8
Cartesian
0.0000 3.3526 1.9808
2.9034 1.6763 6.5475
0.0000 0.0000 0.0000
0.0000 0.0000 4.2641
-1.9064 3.4519 7.0601
0.8672 1.6519 7.0601
1.8641 0.0749 1.4682
0.0000 3.3526 4.0028
2.9034 1.6763 4.5255
1.0393 4.9539 7.0601
2.0362 3.3770 1.4682
4.8099 1.5769 1.4682
```

***

Entry 4:
Starting from the GGA-PBE geometry in Alexandria, the powder XRD pattern of Pm2P4Ir3Pd was computed for copper Kα.
Kinematic intensities with the Lorentz-polarization factor, no thermal factor.

Largest 10 diffraction maxima, by angle, 2θ = 15–90°:
| d (Å) | intensity |
| --- | --- |
| 3.154 | 29 |
| 2.996 | 14 |
| 2.856 | 45 |
| 2.529 | 100 |
| 2.119 | 46 |
| 1.759 | 15 |
| 1.624 | 29 |
| 1.498 | 15 |
| 1.395 | 13 |
| 1.289 | 17 |

Crystal structure
```
Pm2P4Ir3Pd
1.0
4.2371 0.0000 0.0000
0.0000 4.2371 0.0000
0.0000 0.0000 9.4537
Pm P Ir Pd
2 4 3 1
Cartesian
0.0000 2.1186 2.2812
2.1186 0.0000 7.1726
0.0000 0.0000 0.0000
0.0000 2.1186 6.0368
2.1186 0.0000 3.4169
2.1186 2.1186 0.0000
0.0000 2.1186 8.4046
2.1186 0.0000 1.0491
2.1186 2.1186 4.7269
0.0000 0.0000 4.7269
```

***

Entry 5:
Starting from the GGA-PBE geometry in Alexandria, the powder XRD pattern of YP2IrPd was computed for copper Kα.
Kinematic intensities with the Lorentz-polarization factor, no thermal factor.

Largest 10 diffraction maxima, by angle, 2θ = 15–90°:
| d (Å) | intensity |
| --- | --- |
| 3.423 | 96 |
| 3.185 | 100 |
| 2.725 | 68 |
| 2.632 | 57 |
| 2.252 | 73 |
| 2.029 | 58 |
| 1.881 | 37 |
| 1.711 | 62 |
| 1.593 | 24 |
| 1.363 | 29 |

Crystal structure
```
YP2IrPd
1.0
4.5045 0.0000 0.0000
0.0000 4.5045 0.0000
0.0000 0.0000 5.2649
Y P Ir Pd
1 2 1 1
Cartesian
0.0000 0.0000 0.0000
0.0000 2.2523 2.6325
2.2523 0.0000 2.6325
2.2523 2.2523 0.0000
0.0000 0.0000 2.6325
```

***

Entry 6:
Starting from the GGA-PBE geometry in Alexandria, the powder XRD pattern of PmScP2Ir5 was computed for copper Kα.
Kinematic intensities with the Lorentz-polarization factor, no thermal factor.

Largest 10 diffraction maxima, by angle, 2θ = 15–90°:
| d (Å) | intensity |
| --- | --- |
| 3.514 | 84 |
| 2.757 | 72 |
| 2.511 | 100 |
| 2.217 | 22 |
| 2.020 | 56 |
| 1.751 | 49 |
| 1.696 | 45 |
| 1.326 | 19 |
| 1.242 | 22 |
| 1.093 | 23 |

Crystal structure
```
PmScP2Ir5
1.0
4.0396 0.0000 0.0000
0.0000 4.0396 0.0000
0.0000 0.0000 10.5431
Pm Sc P Ir
1 1 2 5
Cartesian
0.0000 0.0000 0.0000
0.0000 0.0000 5.2716
2.0198 2.0198 2.2864
2.0198 2.0198 8.2568
0.0000 2.0198 3.3467
0.0000 2.0198 7.1964
2.0198 0.0000 3.3467
2.0198 0.0000 7.1964
2.0198 2.0198 0.0000
```

***

Entry 7:
Starting from the GGA-PBE geometry in Alexandria, the powder XRD pattern of Pm8P3IrSe4 was computed for copper Kα.
Kinematic intensities with the Lorentz-polarization factor, no thermal factor.

Largest 10 diffraction maxima, by angle, 2θ = 15–90°:
| d (Å) | intensity |
| --- | --- |
| 3.403 | 15 |
| 2.958 | 100 |
| 2.102 | 36 |
| 2.080 | 37 |
| 1.702 | 19 |
| 1.479 | 12 |
| 1.328 | 15 |
| 1.317 | 17 |
| 1.205 | 12 |
| 1.201 | 6 |

Crystal structure
```
Pm8P3IrSe4
1.0
4.1610 2.4023 6.9025
-4.1610 2.4023 6.9025
0.0000 -4.8047 6.9025
Pm P Ir Se
8 3 1 4
Cartesian
0.0000 0.0000 5.0482
-2.0628 -1.1909 11.9425
0.0000 -2.3819 8.7650
-2.0628 1.1909 8.7650
2.0628 -1.1909 11.9425
0.0000 2.3819 11.9425
2.0628 1.1909 8.7650
0.0000 0.0000 15.6593
-4.1610 0.0000 10.3538
-2.0805 1.2012 3.4513
2.0805 1.2012 3.4513
0.0000 0.0000 10.3538
0.0000 0.0000 0.0000
-2.0805 -1.2012 6.9025
-2.0805 1.2012 13.8050
0.0000 2.4023 6.9025
```

***

Entry 8:
Starting from the GGA-PBE geometry in Alexandria, the powder XRD pattern of PrP2Ir4 was computed for copper Kα.
Kinematic intensities with the Lorentz-polarization factor, no thermal factor.

Largest 10 diffraction maxima, by angle, 2θ = 15–90°:
| d (Å) | intensity |
| --- | --- |
| 5.438 | 27 |
| 3.114 | 26 |
| 2.550 | 100 |
| 2.432 | 46 |
| 2.211 | 48 |
| 2.048 | 39 |
| 1.899 | 26 |
| 1.865 | 26 |
| 1.497 | 21 |
| 1.426 | 24 |

Crystal structure
```
PrP2Ir4
1.0
7.6901 0.0000 0.0000
0.0000 7.6901 0.0000
0.0000 0.0000 3.7989
Pr P Ir
2 4 8
Cartesian
0.0000 0.0000 0.0000
3.8450 3.8450 1.8994
1.7654 1.7654 1.8994
2.0797 5.6104 0.0000
5.6104 2.0797 0.0000
5.9247 5.9247 1.8994
0.5809 5.1522 1.8994
1.3071 3.2641 0.0000
2.5379 7.1092 1.8994
3.2641 1.3071 0.0000
4.4260 6.3829 0.0000
5.1522 0.5809 1.8994
6.3829 4.4260 0.0000
7.1092 2.5379 1.8994
```

***

Entry 9:
Starting from the GGA-PBE geometry in Alexandria, the powder XRD pattern of PrP2IrRh2 was computed for copper Kα.
Kinematic intensities with the Lorentz-polarization factor, no thermal factor.

Largest 10 diffraction maxima, by angle, 2θ = 15–90°:
| d (Å) | intensity |
| --- | --- |
| 4.497 | 12 |
| 3.180 | 86 |
| 2.385 | 100 |
| 2.249 | 52 |
| 1.636 | 63 |
| 1.590 | 17 |
| 1.422 | 16 |
| 1.323 | 15 |
| 1.193 | 14 |
| 1.140 | 19 |

Crystal structure
```
PrP2IrRh2
1.0
4.4972 0.0000 0.0000
0.0000 4.4972 0.0000
0.0000 0.0000 5.6278
Pr P Ir Rh
1 2 1 2
Cartesian
0.0000 0.0000 0.0000
0.0000 2.2486 2.8139
2.2486 0.0000 2.8139
0.0000 0.0000 2.8139
2.2486 2.2486 1.4187
2.2486 2.2486 4.2092
```

***

Entry 10:
Starting from the GGA-PBE geometry in Alexandria, the powder XRD pattern of P2IrPt was computed for copper Kα.
Kinematic intensities with the Lorentz-polarization factor, no thermal factor.

Largest 10 diffraction maxima, by angle, 2θ = 15–90°:
| d (Å) | intensity |
| --- | --- |
| 3.707 | 43 |
| 3.052 | 100 |
| 3.017 | 81 |
| 2.631 | 47 |
| 2.596 | 38 |
| 2.126 | 26 |
| 1.978 | 87 |
| 1.857 | 72 |
| 1.746 | 32 |
| 1.305 | 21 |

Crystal structure
```
P2IrPt
1.0
7.4137 0.0000 0.0000
0.0000 3.3495 0.0000
-0.0054 0.0000 5.1918
P Ir Pt
4 2 2
Cartesian
0.0000 0.0000 0.0000
1.4531 1.6747 2.4689
3.7068 1.6747 0.0000
5.1600 0.0000 2.4689
2.0756 0.0000 0.9830
5.7824 1.6747 0.9830
3.1057 0.0000 3.6031
6.8125 1.6747 3.6031
```

***

Entry 11:
Starting from the GGA-PBE geometry in Alexandria, the powder XRD pattern of Th2P3Ir4Pt was computed for copper Kα.
Kinematic intensities with the Lorentz-polarization factor, no thermal factor.

Largest 10 diffraction maxima, by angle, 2θ = 15–90°:
| d (Å) | intensity |
| --- | --- |
| 3.649 | 12 |
| 2.737 | 14 |
| 2.701 | 18 |
| 2.521 | 100 |
| 2.009 | 36 |
| 1.922 | 18 |
| 1.619 | 12 |
| 1.420 | 12 |
| 1.389 | 13 |
| 1.238 | 22 |

Crystal structure
```
Th2P3Ir4Pt
1.0
4.0175 0.0000 0.0000
0.0000 4.0175 0.0000
0.0000 0.0000 10.9466
Th P Ir Pt
2 3 4 1
Cartesian
0.0000 2.0087 2.6842
2.0087 0.0000 8.2624
0.0000 0.0000 0.0000
0.0000 2.0087 6.8158
2.0087 0.0000 4.1308
0.0000 0.0000 5.4733
0.0000 2.0087 9.0641
2.0087 0.0000 1.8824
2.0087 2.0087 5.4733
2.0087 2.0087 0.0000
```

***

Entry 12:
Starting from the GGA-PBE geometry in Alexandria, the powder XRD pattern of UP2IrPt2 was computed for copper Kα.
Kinematic intensities with the Lorentz-polarization factor, no thermal factor.

Largest 10 diffraction maxima, by angle, 2θ = 15–90°:
| d (Å) | intensity |
| --- | --- |
| 3.201 | 20 |
| 3.011 | 26 |
| 2.730 | 35 |
| 2.525 | 84 |
| 2.458 | 100 |
| 2.234 | 36 |
| 2.128 | 41 |
| 2.116 | 19 |
| 1.541 | 23 |
| 1.513 | 19 |

Crystal structure
```
UP2IrPt2
1.0
4.2555 0.0000 0.0000
0.0000 6.6477 0.0000
0.0000 0.0000 7.1155
U P Ir Pt
2 4 2 4
Cartesian
0.0000 0.5590 0.0000
0.0000 6.0887 3.5578
0.0000 2.1190 2.4310
0.0000 4.5287 5.9888
2.1277 0.9800 4.9078
2.1277 5.6677 1.3501
2.1277 1.2477 2.1756
2.1277 5.4000 5.7334
0.0000 2.6322 4.6799
0.0000 4.0154 1.1221
2.1277 2.5799 6.7391
2.1277 4.0678 3.1814
```

***

Entry 13:
Starting from the GGA-PBE geometry in Alexandria, the powder XRD pattern of PuP2Ir3 was computed for copper Kα.
Kinematic intensities with the Lorentz-polarization factor, no thermal factor.

Largest 10 diffraction maxima, by angle, 2θ = 15–90°:
| d (Å) | intensity |
| --- | --- |
| 3.401 | 34 |
| 2.785 | 76 |
| 2.761 | 37 |
| 2.734 | 36 |
| 2.387 | 31 |
| 2.321 | 100 |
| 2.294 | 58 |
| 2.126 | 60 |
| 1.852 | 39 |
| 1.280 | 34 |

Crystal structure
```
PuP2Ir3
1.0
-1.8524 4.2865 6.2124
1.8524 -4.2865 6.2124
1.8524 4.2865 -6.2124
Pu P Ir
2 4 6
Cartesian
0.0000 0.0000 1.5511
0.0000 0.0000 10.8737
1.8524 1.6019 0.0000
1.8524 0.0000 4.2043
0.0000 4.2865 2.0081
0.0000 2.6846 6.2124
1.8524 2.7350 -2.1553
0.0000 2.9193 0.0000
1.8524 2.7350 2.1553
0.0000 1.5515 4.0571
0.0000 5.6536 0.0000
0.0000 1.5515 8.3678
```

***

Entry 14:
Starting from the GGA-PBE geometry in Alexandria, the powder XRD pattern of P2IrRh2 was computed for copper Kα.
Kinematic intensities with the Lorentz-polarization factor, no thermal factor.

Largest 10 diffraction maxima, by angle, 2θ = 15–90°:
| d (Å) | intensity |
| --- | --- |
| 4.681 | 24 |
| 2.960 | 30 |
| 2.579 | 99 |
| 2.340 | 26 |
| 2.259 | 50 |
| 2.138 | 78 |
| 2.093 | 100 |
| 1.459 | 30 |
| 1.393 | 22 |
| 1.243 | 37 |

Crystal structure
```
P2IrRh2
1.0
6.6194 0.0000 0.0000
0.0000 6.6194 0.0000
0.0000 0.0000 3.0899
P Ir Rh
4 2 4
Cartesian
1.0158 2.2939 0.0000
2.2939 5.6036 0.0000
4.3254 1.0158 0.0000
5.6036 4.3254 0.0000
0.0000 0.0000 0.0000
3.3097 3.3097 0.0000
0.9472 4.2569 1.5449
2.3625 0.9472 1.5449
4.2569 5.6722 1.5449
5.6722 2.3625 1.5449
```